Simulated PXRD pattern
Compound: CdHg12
Radiation: Cu Kα, 1.54184 Å
Structure: a cell relaxed with GGA-PBE
Intensities are scaled so that the largest is 100.

Cell and atoms:
abc: 8.971 8.971 8.971
angles: 90.00 90.00 90.00
Space group Im-3 (No. 204)
Inequivalent atoms, fractional coordinates:
1 Cd 0.000 0.000 0.000 x2
2 Hg 0.000 0.180 0.319 x24

Top 10 peaks for 2θ = 10–90°, most intense first:
- d = 2.837 Å, 2θ 31.54, I = 100, hkl 3 1 0
- d = 2.398 Å, 2θ 37.51, I = 62, hkl 3 2 1
- d = 1.538 Å, 2θ 60.14, I = 34, hkl 5 0 3
- d = 1.455 Å, 2θ 63.98, I = 26, hkl 5 3 2
- d = 2.590 Å, 2θ 34.64, I = 22, hkl 2 2 2
- d = 1.323 Å, 2θ 71.30, I = 16, hkl 6 3 1
- d = 3.172 Å, 2θ 28.14, I = 16, hkl 2 2 0
- d = 1.495 Å, 2θ 62.08, I = 15, hkl 6 0 0
- d = 1.759 Å, 2θ 51.98, I = 10, hkl 4 1 3
- d = 1.269 Å, 2θ 74.84, I = 9, hkl 5 3 4